No. 1
# LaEuAg
Theoretical powder X-ray diffraction pattern, Cu Kα X-rays. Input: the PBE geometry in Alexandria.
Peak positions follow from Bragg's law for the DFT cell and can differ from measured ones.

Cell and atoms:
```
LaEuAg
1.0
-1.9228 1.9228 6.4921
1.9228 -1.9228 6.4921
1.9228 1.9228 -6.4921
La Eu Ag
1 1 1
Direct
0.0000 0.0000 0.0000
0.7158 0.7158 0.0000
0.3621 0.3621 0.0000
```

Largest 6 diffraction maxima, in order of rising 2θ, 10 to 90 degrees two-theta:
2θ (°)  I_rel
31.11  100
32.94  50
41.98  11
47.27  18
54.17  12
57.68  34



No. 2
# CrGe3
Theoretical powder X-ray diffraction pattern, Cu Kα X-rays. Input: the PBE geometry in Alexandria.
Peak positions follow from Bragg's law for the DFT cell and can differ from measured ones.

Cell and atoms:
```
CrGe3
1.0
-1.5632 3.6429 2.8408
1.5632 -3.6429 2.8408
1.5632 3.6429 -2.8408
Cr Ge
1 3
Direct
0.0000 0.0000 0.0000
0.0852 0.7706 0.3147
0.4559 0.7706 0.6853
0.6705 0.1705 0.5000
```

Largest 6 diffraction maxima, in order of rising 2θ, 10 to 90 degrees two-theta:
2θ (°)  I_rel
32.69  53
40.26  32
40.39  68
41.24  100
44.87  57
74.00  32



No. 3
# ReTc2Se5
Theoretical powder X-ray diffraction pattern, Cu Kα X-rays. Input: the PBE geometry in Alexandria.
Peak positions follow from Bragg's law for the DFT cell and can differ from measured ones.

Cell and atoms:
```
ReTc2Se5
1.0
5.7759 -3.5735 0.0000
5.7759 3.5735 0.0000
-2.1997 0.0000 5.2867
Re Tc Se
1 2 5
Direct
0.0000 0.0000 0.0000
0.3807 0.3807 0.9058
0.9885 0.9885 0.4983
0.0563 0.6389 0.6545
0.1743 0.1743 0.8727
0.2755 0.7326 0.2543
0.6389 0.0563 0.6545
0.7326 0.2755 0.2543
```

Largest 6 diffraction maxima, in order of rising 2θ, 10 to 90 degrees two-theta:
2θ (°)  I_rel
14.92  100
16.62  88
18.55  35
30.17  36
40.55  42
42.54  36



No. 4
# SrH2I2O
Theoretical powder X-ray diffraction pattern, Cu Kα X-rays. Input: the PBE geometry in Alexandria.
Peak positions follow from Bragg's law for the DFT cell and can differ from measured ones.

Cell and atoms:
```
SrH2I2O
1.0
13.7655 0.0000 0.0000
0.0000 4.4825 0.0000
0.0000 0.0000 9.6539
Sr H I O
4 8 8 4
Direct
0.2243 0.2500 0.1232
0.2757 0.7500 0.6232
0.7243 0.2500 0.3768
0.7757 0.7500 0.8768
0.1175 0.2500 0.6950
0.1277 0.2500 0.5334
0.3723 0.7500 0.0334
0.3825 0.7500 0.1950
0.6175 0.2500 0.8050
0.6277 0.2500 0.9666
0.8723 0.7500 0.4666
0.8825 0.7500 0.3050
0.1111 0.7500 0.3399
0.1208 0.7500 0.9034
0.3792 0.2500 0.4034
0.3889 0.2500 0.8399
0.6111 0.7500 0.1601
0.6208 0.7500 0.5966
0.8792 0.2500 0.0966
0.8889 0.2500 0.6601
0.1658 0.2500 0.6198
0.3342 0.7500 0.1198
0.6658 0.2500 0.8802
0.8342 0.7500 0.3802
```

Largest 6 diffraction maxima, in order of rising 2θ, 10 to 90 degrees two-theta:
2θ (°)  I_rel
23.69  79
26.81  100
27.93  100
33.55  59
44.36  33
49.01  43